Simulated PXRD pattern
Compound: Mg6Si5
Radiation: a wavelength of 1.5418 Å
Structure: a structure optimized by DFT (GGA-PBE)
Neutral-atom scattering factors, no anomalous dispersion.

Cell: 6.8266 4.0384 15.2174 Å, 90.00 95.01 90.00°
Space group Pm (No. 6)
Unique sites:
Mg  0.0000  0.0000  0.0000 [1 per cell]
Mg  0.0095  0.0000  0.5488 [1 per cell]
Mg  0.2244  0.5000  0.8841 [1 per cell]
Mg  0.2793  0.5000  0.0924 [1 per cell]
Mg  0.3355  0.0000  0.3944 [1 per cell]
Mg  0.5035  0.0000  0.9952 [1 per cell]
Mg  0.5413  0.0000  0.6074 [1 per cell]
Mg  0.6637  0.5000  0.4615 [1 per cell]
Mg  0.7448  0.5000  0.9078 [1 per cell]
Mg  0.7783  0.5000  0.1321 [1 per cell]
Mg  0.8160  0.0000  0.3187 [1 per cell]
Mg  0.9353  0.0000  0.7687 [1 per cell]
Si  0.0342  0.5000  0.4183 [1 per cell]
Si  0.0903  0.0000  0.1826 [1 per cell]
Si  0.1401  0.5000  0.2735 [1 per cell]
Si  0.2058  0.5000  0.6847 [1 per cell]
Si  0.3004  0.5000  0.5313 [1 per cell]
Si  0.3740  0.0000  0.7713 [1 per cell]
Si  0.4979  0.0000  0.1811 [1 per cell]
Si  0.5084  0.5000  0.2811 [1 per cell]
Si  0.5998  0.5000  0.7440 [1 per cell]
Si  0.8367  0.5000  0.6377 [1 per cell]

Top 12 peaks for 10 to 90 degrees two-theta, by angle:
h k l  two_theta  intensity
0 0 2  11.7  21.6
2 1 0  34.5  54.4
2 1 -1  34.6  23.0
2 1 -2  35.7  46.5
1 1 4  35.8  38.7
0 1 5  37.1  100.0
2 1 2  37.3  40.7
2 1 -3  37.8  20.6
2 0 -5  38.0  27.6
1 1 -5  38.5  29.9
3 0 -3  42.2  22.3
0 2 0  44.9  64.4

=====

Simulated PXRD pattern
Compound: Ba3N
Radiation: a wavelength of 1.5418 Å
Structure: a structure optimized by DFT (GGA-PBE)
Neutral-atom scattering factors, no anomalous dispersion.

Cell: 7.7369 7.7369 7.0986 Å, 90.00 90.00 120.00°
Space group P6_3/mcm (No. 193)
Unique sites:
Ba  0.0000  0.2723  0.2500 [6 per cell]
N  0.0000  0.0000  0.0000 [2 per cell]

Top 12 peaks for 10 to 90 degrees two-theta, by angle:
h k l  two_theta  intensity
1 0 0  13.2  34.8
1 1 0  23.0  17.2
0 0 2  25.1  30.5
1 1 1  26.2  100.0
1 1 2  34.3  17.6
2 1 1  37.7  39.6
3 0 0  40.4  11.3
1 1 3  44.9  23.1
3 0 2  48.1  11.0
2 1 3  53.0  14.7
4 0 2  61.2  12.4
3 2 1  61.7  13.4

=====

Simulated PXRD pattern
Compound: LiCuP3O9
Radiation: a wavelength of 1.5418 Å
Structure: a structure optimized by DFT (GGA-PBE)
Neutral-atom scattering factors, no anomalous dispersion.

Cell: 11.3196 6.3812 9.6596 Å, 90.00 93.99 90.00°
Space group Cc (No. 9)
Unique sites:
Li  0.0000  0.0342  0.0000 [4 per cell]
Cu  0.1708  0.5003  0.0000 [4 per cell]
P  0.2165  0.1615  0.7539 [4 per cell]
P  0.3237  0.2636  0.2491 [4 per cell]
P  0.4777  0.1124  0.7470 [4 per cell]
O  0.0270  0.3110  0.1170 [4 per cell]
O  0.0478  0.3538  0.3839 [4 per cell]
O  0.1589  0.2283  0.6155 [4 per cell]
O  0.1601  0.2264  0.8840 [4 per cell]
O  0.2214  0.0897  0.2540 [4 per cell]
O  0.3052  0.3866  0.1161 [4 per cell]
O  0.3372  0.3772  0.3843 [4 per cell]
O  0.3532  0.2257  0.7649 [4 per cell]
O  0.4418  0.1295  0.2305 [4 per cell]

Top 12 peaks for 10 to 90 degrees two-theta, by angle:
h k l  two_theta  intensity
2 0 0  15.7  47.5
1 1 0  16.0  100.0
0 0 2  18.4  28.3
2 0 -2  23.4  35.5
1 1 -2  24.0  66.4
1 1 2  24.9  65.9
2 0 2  25.1  34.7
3 1 -1  28.5  41.5
0 2 1  29.5  28.8
3 1 -2  32.3  51.8
0 2 2  33.7  37.8
3 3 0  49.2  37.8